The following is a computed powder diffraction line list of Li2Cu5Pd4. It was derived from a cell relaxed with GGA-PBE, using Cu Kα X-rays.

Main lines, in order of rising 2θ (10° ≤ 2θ ≤ 90°):
- hkl 0 2 2, d = 2.237 Å, intensity 336
- hkl -1 1 2, d = 2.165 Å, intensity 445
- hkl 1 1 3, d = 2.153 Å, intensity 440
- hkl 1 2 0, d = 2.143 Å, intensity 1000
- hkl 2 0 1, d = 2.026 Å, intensity 430
- hkl 0 1 -3, d = 1.974 Å, intensity 354

```
data_Li2Cu5Pd4
_chemical_formula_sum 'Li2 Cu5 Pd4'
_cell_length_a 4.052
_cell_length_b 5.329
_cell_length_c 7.098
_cell_angle_alpha 82.35
_cell_angle_beta 73.82
_cell_angle_gamma 90.00
_space_group_name_H-M_alt 'P -1'
_space_group_IT_number 2
loop_
_space_group_symop_operation_xyz
'x,y,z'
'-x,-y,-z'
loop_
_atom_site_label
_atom_site_type_symbol
_atom_site_fract_x
_atom_site_fract_y
_atom_site_fract_z
Li1 Li 0.088 0.452 0.327
Cu1 Cu 0.000 0.000 0.500
Cu2 Cu 0.262 0.369 0.976
Cu3 Cu 0.439 0.285 0.618
Pd1 Pd 0.182 0.890 0.137
Pd2 Pd 0.378 0.797 0.744
```